# 1
Structure and computed PXRD pattern of IrRhSe4 (a cell relaxed with PBE; Cu Kα).
Intensities are scaled so that the largest is 100.

The 10 most intense peaks (15 to 90 degrees two-theta), in order of rising 2θ:
2θ 22.09, rel. 100; 2θ 27.56, rel. 33; 2θ 31.81, rel. 55; 2θ 35.27, rel. 23; 2θ 42.29, rel. 93; 2θ 45.05, rel. 30; 2θ 46.14, rel. 24; 2θ 51.72, rel. 20; 2θ 53.63, rel. 54; 2θ 66.46, rel. 19

```
IrRhSe4
1.0
-4.0248 4.0248 3.9344
4.0248 -4.0248 3.9344
4.0248 4.0248 -3.9344
Ir Rh Se
2 2 8
Direct
0.0000 0.0000 0.0000 Ir
0.7500 0.2500 0.5000 Ir
0.2467 0.7467 0.5000 Rh
0.4967 0.4967 0.0000 Rh
0.1904 0.4982 0.6923 Se
0.2482 0.0559 0.8077 Se
0.2482 0.4404 0.1923 Se
0.3070 0.9988 0.3083 Se
0.6905 0.9988 0.6917 Se
0.7488 0.5570 0.8083 Se
0.7488 0.9405 0.1917 Se
0.8059 0.4982 0.3077 Se
```



# 2
Structure and computed PXRD pattern of IrRhSe2 (a cell relaxed with PBE; Cu Kα).
Intensities are scaled so that the largest is 100.

The 10 most intense peaks (15 to 90 degrees two-theta), in order of rising 2θ:
2θ 15.08, rel. 100; 2θ 27.28, rel. 20; 2θ 32.88, rel. 11; 2θ 33.20, rel. 13; 2θ 39.29, rel. 37; 2θ 40.10, rel. 37; 2θ 45.98, rel. 15; 2θ 46.15, rel. 15; 2θ 50.27, rel. 18; 2θ 51.38, rel. 16

```
IrRhSe2
1.0
3.9490 0.0000 0.0000
0.0000 3.9338 0.0000
-1.8028 0.0000 5.8754
Ir Rh Se
1 1 2
Direct
0.0000 0.0000 0.0000 Ir
0.5045 0.5000 0.0065 Rh
0.1203 0.5000 0.2584 Se
0.3837 0.0000 0.7471 Se
```



# 3
Structure and computed PXRD pattern of SiIr2Rh (a cell relaxed with PBE; Cu Kα).
Intensities are scaled so that the largest is 100.

The 10 most intense peaks (15 to 90 degrees two-theta), in order of rising 2θ:
2θ 25.98, rel. 15; 2θ 31.37, rel. 28; 2θ 34.05, rel. 21; 2θ 39.41, rel. 13; 2θ 41.17, rel. 100; 2θ 44.96, rel. 46; 2θ 61.30, rel. 15; 2θ 65.47, rel. 15; 2θ 77.16, rel. 13; 2θ 80.33, rel. 29

```
SiIr2Rh
1.0
2.8514 0.0000 0.0000
0.0000 2.8514 0.0000
0.0000 0.0000 6.8596
Si Ir Rh
1 2 1
Direct
0.0000 0.0000 0.0000 Si
0.5000 0.5000 0.2124 Ir
0.5000 0.5000 0.7876 Ir
0.0000 0.0000 0.5000 Rh
```



# 4
Structure and computed PXRD pattern of TbSiIrRh (a cell relaxed with PBE; Cu Kα).
Intensities are scaled so that the largest is 100.

The 10 most intense peaks (15 to 90 degrees two-theta), in order of rising 2θ:
2θ 17.90, rel. 24; 2θ 31.93, rel. 100; 2θ 35.09, rel. 61; 2θ 35.64, rel. 62; 2θ 36.84, rel. 30; 2θ 44.88, rel. 25; 2θ 46.67, rel. 23; 2θ 51.75, rel. 19; 2θ 58.59, rel. 30; 2θ 59.70, rel. 27

```
TbSiIrRh
1.0
3.8926 0.0000 0.0000
0.0000 4.0389 0.0000
0.0000 0.0000 9.9119
Tb Si Ir Rh
2 2 2 2
Direct
0.0000 0.0000 0.0000 Tb
0.5000 0.5000 0.5000 Tb
0.0000 0.5000 0.2482 Si
0.5000 0.0000 0.7482 Si
0.0000 0.0000 0.6209 Ir
0.5000 0.5000 0.1209 Ir
0.0000 0.0000 0.3630 Rh
0.5000 0.5000 0.8630 Rh
```



# 5
Structure and computed PXRD pattern of Sm6Ir2Rh (a cell relaxed with PBE; Cu Kα).
Intensities are scaled so that the largest is 100.

The 10 most intense peaks (15 to 90 degrees two-theta), in order of rising 2θ:
2θ 28.72, rel. 80; 2θ 29.82, rel. 100; 2θ 30.45, rel. 89; 2θ 32.37, rel. 71; 2θ 32.86, rel. 74; 2θ 36.13, rel. 60; 2θ 37.65, rel. 40; 2θ 39.08, rel. 49; 2θ 46.90, rel. 56; 2θ 52.52, rel. 43

```
Sm6Ir2Rh
1.0
6.7848 0.0000 0.0000
0.0000 7.3540 0.0000
-6.0597 0.0000 10.1152
Sm Ir Rh
12 4 2
Direct
0.0848 0.0549 0.2523 Sm
0.0848 0.4451 0.7523 Sm
0.2608 0.6775 0.0820 Sm
0.2608 0.8225 0.5820 Sm
0.3999 0.1802 0.0664 Sm
0.3999 0.3198 0.5664 Sm
0.6001 0.6802 0.4336 Sm
0.6001 0.8198 0.9336 Sm
0.7392 0.1775 0.4180 Sm
0.7392 0.3225 0.9180 Sm
0.9152 0.5549 0.2477 Sm
0.9152 0.9451 0.7477 Sm
0.3197 0.1131 0.7723 Ir
0.3197 0.3869 0.2723 Ir
0.6803 0.6131 0.7277 Ir
0.6803 0.8869 0.2277 Ir
0.0000 0.0000 0.0000 Rh
0.0000 0.5000 0.5000 Rh
```



# 6
Structure and computed PXRD pattern of Sm3IrRh8 (a cell relaxed with PBE; Cu Kα).
Intensities are scaled so that the largest is 100.

The 10 most intense peaks (15 to 90 degrees two-theta), in order of rising 2θ:
2θ 33.56, rel. 22; 2θ 33.67, rel. 28; 2θ 39.55, rel. 20; 2θ 39.67, rel. 100; 2θ 41.34, rel. 12; 2θ 41.53, rel. 24; 2θ 60.17, rel. 13; 2θ 64.23, rel. 26; 2θ 70.53, rel. 9; 2θ 70.80, rel. 17

```
Sm3IrRh8
1.0
2.6617 1.5368 8.7369
-2.6617 1.5368 8.7369
0.0000 -3.0735 8.7369
Sm Ir Rh
3 1 8
Direct
0.0000 0.0000 0.0000 Sm
0.1313 0.1313 0.1313 Sm
0.6112 0.6112 0.6112 Sm
0.4817 0.4817 0.4817 Ir
0.0616 0.0616 0.5608 Rh
0.0616 0.5608 0.0616 Rh
0.0626 0.5652 0.5652 Rh
0.3127 0.3127 0.3127 Rh
0.5608 0.0616 0.0616 Rh
0.5652 0.0626 0.5652 Rh
0.5652 0.5652 0.0626 Rh
0.8140 0.8140 0.8140 Rh
```



# 7
Structure and computed PXRD pattern of SmIrRh (a cell relaxed with PBE; Cu Kα).
Intensities are scaled so that the largest is 100.

The 10 most intense peaks (15 to 90 degrees two-theta), in order of rising 2θ:
2θ 20.10, rel. 17; 2θ 33.15, rel. 50; 2θ 39.06, rel. 100; 2θ 39.25, rel. 77; 2θ 40.85, rel. 34; 2θ 41.03, rel. 35; 2θ 63.10, rel. 24; 2θ 63.30, rel. 19; 2θ 63.46, rel. 14; 2θ 69.58, rel. 41

```
SmIrRh
1.0
5.3736 0.0000 0.0000
0.0000 5.4076 0.0000
0.0000 0.0000 7.6606
Sm Ir Rh
4 4 4
Direct
0.0000 0.2500 0.1234 Sm
0.0000 0.7500 0.8766 Sm
0.5000 0.2500 0.3766 Sm
0.5000 0.7500 0.6234 Sm
0.2500 0.2500 0.7500 Ir
0.2500 0.7500 0.2500 Ir
0.7500 0.2500 0.7500 Ir
0.7500 0.7500 0.2500 Ir
0.0000 0.0000 0.5000 Rh
0.0000 0.5000 0.5000 Rh
0.5000 0.0000 0.0000 Rh
0.5000 0.5000 0.0000 Rh
```



# 8
Structure and computed PXRD pattern of Sm4IrRh2 (a cell relaxed with PBE; Cu Kα).
Intensities are scaled so that the largest is 100.

The 10 most intense peaks (15 to 90 degrees two-theta), in order of rising 2θ:
2θ 28.82, rel. 13; 2θ 32.27, rel. 100; 2θ 32.38, rel. 56; 2θ 38.43, rel. 86; 2θ 48.73, rel. 18; 2θ 53.27, rel. 30; 2θ 53.37, rel. 12; 2θ 65.61, rel. 23; 2θ 65.81, rel. 13; 2θ 80.45, rel. 19

```
Sm4IrRh2
1.0
-4.3705 4.3872 4.3876
4.3705 -4.3872 4.3876
4.3705 4.3872 -4.3876
Sm Ir Rh
8 2 4
Direct
0.0014 0.1246 0.0019 Sm
0.1228 0.9980 0.4992 Sm
0.3772 0.8764 0.8753 Sm
0.4986 0.5005 0.1232 Sm
0.5012 0.5020 0.6247 Sm
0.6227 0.9995 0.4981 Sm
0.8773 0.3754 0.3768 Sm
0.9988 0.6236 0.0008 Sm
0.2500 0.6256 0.3756 Ir
0.7500 0.8744 0.1244 Ir
0.1232 0.3732 0.7500 Rh
0.3768 0.1268 0.2500 Rh
0.6225 0.2500 0.8725 Rh
0.8775 0.7500 0.6275 Rh
```



# 9
Structure and computed PXRD pattern of Sm3IrRh (a cell relaxed with PBE; Cu Kα).
Intensities are scaled so that the largest is 100.

The 10 most intense peaks (15 to 90 degrees two-theta), in order of rising 2θ:
2θ 22.42, rel. 44; 2θ 28.58, rel. 39; 2θ 31.23, rel. 100; 2θ 33.91, rel. 23; 2θ 36.83, rel. 40; 2θ 39.26, rel. 64; 2θ 40.65, rel. 38; 2θ 46.45, rel. 30; 2θ 52.13, rel. 27; 2θ 56.89, rel. 25

```
Sm3IrRh
1.0
8.4963 0.0000 0.0000
0.0000 3.9103 0.0000
-3.0843 0.0000 7.9402
Sm Ir Rh
6 2 2
Direct
0.0000 0.0000 0.0000 Sm
0.0643 0.5000 0.5772 Sm
0.3443 0.5000 0.2956 Sm
0.4085 0.0000 0.8733 Sm
0.6396 0.0000 0.6398 Sm
0.7689 0.0000 0.2333 Sm
0.2037 0.0000 0.4358 Ir
0.7041 0.5000 0.9364 Ir
0.2042 0.5000 0.9364 Rh
0.7043 0.5000 0.4366 Rh
```



# 10
Structure and computed PXRD pattern of Sm3IrRh2 (a cell relaxed with PBE; Cu Kα).
Intensities are scaled so that the largest is 100.

The 10 most intense peaks (15 to 90 degrees two-theta), in order of rising 2θ:
2θ 21.99, rel. 3; 2θ 25.44, rel. 1; 2θ 36.29, rel. 100; 2θ 42.84, rel. 1; 2θ 52.26, rel. 18; 2θ 65.26, rel. 27; 2θ 65.35, rel. 9; 2θ 77.00, rel. 6; 2θ 77.10, rel. 6; 2θ 88.27, rel. 16

```
Sm3IrRh2
1.0
4.9537 0.0000 0.0000
-2.4769 4.2900 0.0000
0.0000 0.0000 12.1141
Sm Ir Rh
6 2 4
Direct
0.0000 0.0000 0.2490 Sm
0.0000 0.0000 0.7510 Sm
0.3333 0.6667 0.4155 Sm
0.3333 0.6667 0.9167 Sm
0.6667 0.3333 0.0833 Sm
0.6667 0.3333 0.5845 Sm
0.3333 0.6667 0.1664 Ir
0.6667 0.3333 0.8336 Ir
0.0000 0.0000 0.0000 Rh
0.0000 0.0000 0.5000 Rh
0.3333 0.6667 0.6640 Rh
0.6667 0.3333 0.3360 Rh
```



# 11
Structure and computed PXRD pattern of Sn6IrRh2 (a cell relaxed with PBE; Cu Kα).
Intensities are scaled so that the largest is 100.

The 10 most intense peaks (15 to 90 degrees two-theta), in order of rising 2θ:
2θ 16.44, rel. 47; 2θ 30.03, rel. 100; 2θ 30.14, rel. 79; 2θ 31.69, rel. 48; 2θ 38.21, rel. 95; 2θ 40.46, rel. 48; 2θ 42.60, rel. 47; 2θ 43.49, rel. 51; 2θ 43.64, rel. 52; 2θ 50.85, rel. 43

```
Sn6IrRh2
1.0
6.5950 0.0000 0.0000
0.0000 6.7795 0.0000
-3.1157 0.0000 8.8954
Sn Ir Rh
12 2 4
Direct
0.0974 0.0472 0.2970 Sn
0.0974 0.4528 0.7970 Sn
0.2850 0.6918 0.0826 Sn
0.2850 0.8082 0.5826 Sn
0.3955 0.1803 0.0891 Sn
0.3955 0.3197 0.5891 Sn
0.6045 0.6803 0.4109 Sn
0.6045 0.8197 0.9109 Sn
0.7150 0.1918 0.4174 Sn
0.7150 0.3082 0.9174 Sn
0.9026 0.5472 0.2030 Sn
0.9026 0.9528 0.7030 Sn
0.0000 0.0000 0.0000 Ir
0.0000 0.5000 0.5000 Ir
0.2968 0.1054 0.7948 Rh
0.2968 0.3946 0.2948 Rh
0.7032 0.6054 0.7052 Rh
0.7032 0.8946 0.2052 Rh
```



# 12
Structure and computed PXRD pattern of ZrSnIrRh (a cell relaxed with PBE; Cu Kα).
Intensities are scaled so that the largest is 100.

The 10 most intense peaks (15 to 90 degrees two-theta), in order of rising 2θ:
2θ 23.86, rel. 9; 2θ 38.00, rel. 100; 2θ 42.26, rel. 37; 2θ 47.79, rel. 13; 2θ 49.11, rel. 3; 2θ 61.30, rel. 12; 2θ 65.67, rel. 20; 2θ 74.44, rel. 28; 2θ 81.25, rel. 11; 2θ 82.43, rel. 11

```
ZrSnIrRh
1.0
4.2774 0.0000 0.0000
0.0000 4.2774 0.0000
0.0000 0.0000 7.6128
Zr Sn Ir Rh
2 2 2 2
Direct
0.0000 0.0000 0.0000 Zr
0.5000 0.5000 0.5000 Zr
0.0000 0.0000 0.5000 Sn
0.5000 0.5000 0.0000 Sn
0.0000 0.5000 0.2500 Ir
0.5000 0.0000 0.7500 Ir
0.0000 0.5000 0.7500 Rh
0.5000 0.0000 0.2500 Rh
```



# 13
Structure and computed PXRD pattern of SrIr2Rh (a cell relaxed with PBE; Cu Kα).
Intensities are scaled so that the largest is 100.

The 10 most intense peaks (15 to 90 degrees two-theta), in order of rising 2θ:
2θ 18.27, rel. 31; 2θ 36.82, rel. 18; 2θ 37.02, rel. 56; 2θ 38.23, rel. 51; 2θ 38.49, rel. 100; 2θ 44.20, rel. 68; 2θ 44.31, rel. 34; 2θ 63.56, rel. 23; 2θ 65.19, rel. 21; 2θ 77.65, rel. 26

```
SrIr2Rh
1.0
4.9636 0.0000 0.0000
0.0000 2.8520 0.0000
-1.6199 0.0000 4.8561
Sr Ir Rh
1 2 1
Direct
0.0000 0.0000 0.0000 Sr
0.0000 0.5000 0.5000 Ir
0.5000 0.0000 0.5000 Ir
0.5000 0.5000 0.0000 Rh
```



# 14
Structure and computed PXRD pattern of Sr2IrRh2 (a cell relaxed with PBE; Cu Kα).
Intensities are scaled so that the largest is 100.

The 10 most intense peaks (15 to 90 degrees two-theta), in order of rising 2θ:
2θ 18.54, rel. 58; 2θ 19.14, rel. 23; 2θ 32.09, rel. 100; 2θ 32.76, rel. 45; 2θ 37.59, rel. 28; 2θ 40.02, rel. 40; 2θ 40.61, rel. 96; 2θ 52.66, rel. 26; 2θ 56.07, rel. 18; 2θ 63.40, rel. 41

```
Sr2IrRh2
1.0
4.5054 0.0000 0.0000
0.0000 5.2988 0.0000
0.0000 0.0000 9.5718
Sr Ir Rh
4 2 4
Direct
0.0000 0.0000 0.1978 Sr
0.0000 0.0000 0.8022 Sr
0.5000 0.5000 0.3022 Sr
0.5000 0.5000 0.6978 Sr
0.0000 0.5000 0.0000 Ir
0.5000 0.0000 0.5000 Ir
0.0000 0.2565 0.5000 Rh
0.0000 0.7435 0.5000 Rh
0.5000 0.2435 0.0000 Rh
0.5000 0.7565 0.0000 Rh
```